Calculated PXRD pattern
Compound: SmYB2P2Ir2
Radiation: Cu Kα, 1.54184 Å
Structure: DFT lattice parameters and positions (PBE)
Lines closer than 0.1° are merged.

Crystal structure
```
data_SmYB2P2Ir2
_chemical_formula_sum 'Sm1 Y1 B2 P2 Ir2'
_symmetry_space_group_name_H-M 'P 4 m m'
_symmetry_Int_Tables_number 99
_symmetry_space_group_name_Hall 'P 4 -2'
_cell_length_a 3.9627
_cell_length_b 3.9627
_cell_length_c 8.3689
_cell_angle_alpha 90.00
_cell_angle_beta 90.00
_cell_angle_gamma 90.00
loop_
_atom_site_label
_atom_site_fract_x
_atom_site_fract_y
_atom_site_fract_z
_atom_site_occupancy
Sm1 0.0000 0.0000 0.0000 1
Y1 0.5000 0.5000 0.6121 1
B1 0.0000 0.0000 0.4152 1
B2 0.5000 0.5000 0.1909 1
P1 0.0000 0.0000 0.6530 1
P2 0.5000 0.5000 0.9507 1
Ir1 0.0000 0.5000 0.3048 1
```

Peak list (8 most intense, 2θ from 15° to 90°, sorted by position)
| h k l | 2θ (°) | I_rel |
| --- | --- | --- |
| 1 0 1 | 24.86 | 247 |
| 0 0 3 | 32.09 | 488 |
| 1 1 1 | 33.73 | 1000 |
| 1 1 2 | 38.67 | 971 |
| 2 0 0 | 45.80 | 431 |
| 2 0 3 | 57.01 | 381 |
| 1 1 5 | 64.87 | 335 |
| 3 1 2 | 79.91 | 239 |